Starting from a DFT-relaxed cell (GGA-PBE, Alexandria), the powder X-ray diffraction pattern of AlCr2Tc was simulated for copper Kα.
Peak positions follow from Bragg's law for the DFT cell and can differ from measured ones.

Atomic structure:
a = 2.989 Å, b = 4.201 Å, c = 8.282 Å
α = 90.00°, β = 90.00°, γ = 90.00°
Space group Imm2 (No. 44)
Unique sites:
Al: 0.000 0.000 0.000 x2
Cr: 0.000 0.000 0.488 x2
Cr: 0.000 0.500 0.759 x2
Tc: 0.000 0.500 0.236 x2

Main lines, most intense first (2θ = 10–80°):
2θ = 43.08°, intensity 100, (0 2 0); 2θ = 43.72°, intensity 18, (0 0 4); 2θ = 78.98°, intensity 18, (1 3 2); 2θ = 21.46°, intensity 12, (0 0 2); 2θ = 23.75°, intensity 12, (0 1 1); 2θ = 63.05°, intensity 11, (0 2 4); 2θ = 79.88°, intensity 10, (1 1 6); 2θ = 62.10°, intensity 6, (2 0 0); 2θ = 36.91°, intensity 6, (1 1 0); 2θ = 78.55°, intensity 6, (2 2 0); 2θ = 31.83°, intensity 5, (1 0 1); 2θ = 44.68°, intensity 3, (1 0 3)